# Ag2HgI4
Theoretical powder diffractogram, Cu Kα (weighted mean of Kα1 and Kα2). Input: a DFT-relaxed cell (GGA-PBE, the Materials Project).

Main lines, in order of rising 2θ (2θ from 15° to 90°):
hkl 1 1 2, 23.5 deg, d = 3.782 Å, intensity 1000; hkl 2 0 4, 38.8 deg, d = 2.319 Å, intensity 527; hkl 2 2 0, 39.0 deg, d = 2.311 Å, intensity 261; hkl 1 1 6, 45.8 deg, d = 1.982 Å, intensity 163; hkl 3 1 2, 46.0 deg, d = 1.972 Å, intensity 322; hkl 4 2 4, 70.5 deg, d = 1.336 Å, intensity 172

Structural model:
a = 6.536 Å, b = 6.536 Å, c = 13.163 Å
α = 90.00°, β = 90.00°, γ = 90.00°
Element x y z (fractional)
1 Ag 0.000 0.000 0.000
2 Ag 0.000 0.500 0.250
3 Ag 0.500 0.000 0.750
4 Ag 0.500 0.500 0.500
5 Hg 0.000 0.000 0.500
6 Hg 0.500 0.500 0.000
7 I 0.240 0.260 0.630
8 I 0.240 0.740 0.870
9 I 0.260 0.240 0.130
10 I 0.260 0.760 0.370
11 I 0.740 0.240 0.370
12 I 0.740 0.760 0.130
13 I 0.760 0.260 0.870
14 I 0.760 0.740 0.630